NiSeO4: computed PXRD pattern (Cu Kα (weighted mean of Kα1 and Kα2)), based on a cell relaxed with GGA+U.
Peak positions follow from Bragg's law for the DFT cell and can differ from measured ones.

Peak list (10 most intense, 2θ = 10–90°, sorted by position)
| index | 2θ (°) | d [Å] | intensity |
| --- | --- | --- | --- |
| 1 1 1 | 23.97 | 3.713 | 100 |
| 0 2 1 | 25.67 | 3.471 | 60 |
| 2 0 0 | 32.71 | 2.738 | 46 |
| 1 1 2 | 34.30 | 2.614 | 98 |
| 1 3 0 | 36.48 | 2.463 | 60 |
| 2 2 1 | 42.03 | 2.150 | 18 |
| 2 2 2 | 49.07 | 1.856 | 23 |
| 0 4 2 | 52.75 | 1.735 | 18 |
| 3 1 2 | 59.40 | 1.556 | 26 |
| 2 4 2 | 63.46 | 1.466 | 36 |

Atomic structure:
```
data_NiSeO4
_symmetry_space_group_name_H-M 'C m c m'
_symmetry_Int_Tables_number 63
_symmetry_space_group_name_Hall '-C 2c 2'
_cell_length_a 5.476
_cell_length_b 8.274
_cell_length_c 6.378
_cell_angle_alpha 90.00
_cell_angle_beta 90.00
_cell_angle_gamma 90.00
loop_
_atom_site_label
_atom_site_fract_x
_atom_site_fract_y
_atom_site_fract_z
Ni1 0.000 0.000 0.000
Se1 0.000 0.348 0.250
O1 0.000 0.242 0.029
O2 0.250 0.024 0.750
```

NiSeO5: computed PXRD pattern (Cu Kα (weighted mean of Kα1 and Kα2)), based on a cell relaxed with GGA+U.
Peak positions follow from Bragg's law for the DFT cell and can differ from measured ones.

Peak list (10 most intense, 2θ = 10–90°, sorted by position)
| index | 2θ (°) | d [Å] | intensity |
| --- | --- | --- | --- |
| 1 0 0 | 14.79 | 5.990 | 100 |
| 1 1 -1 | 16.96 | 5.229 | 15 |
| 1 2 -1 | 23.86 | 3.730 | 42 |
| 1 1 -2 | 25.43 | 3.503 | 23 |
| 2 1 -1 | 27.21 | 3.277 | 22 |
| 0 0 2 | 27.63 | 3.228 | 14 |
| 0 1 2 | 29.32 | 3.047 | 52 |
| 1 2 1 | 31.76 | 2.817 | 14 |
| 0 4 0 | 39.09 | 2.305 | 15 |
| 3 1 -2 | 39.94 | 2.257 | 18 |

Atomic structure:
```
data_NiSeO5
_symmetry_space_group_name_H-M 'P 1 21/c 1'
_symmetry_Int_Tables_number 14
_symmetry_space_group_name_Hall '-P 2ybc'
_cell_length_a 7.028
_cell_length_b 9.219
_cell_length_c 7.575
_cell_angle_alpha 90.00
_cell_angle_beta 121.54
_cell_angle_gamma 90.00
loop_
_atom_site_label
_atom_site_fract_x
_atom_site_fract_y
_atom_site_fract_z
Ni1 0.097 0.149 0.096
Se1 0.160 0.626 0.921
O1 0.099 0.136 0.598
O2 0.118 0.557 0.685
O3 0.152 0.694 0.361
O4 0.380 0.153 0.059
O5 0.399 0.236 0.475
```